# VCdPHO6
Simulated PXRD pattern, Cu Ka. Input: a cell relaxed with GGA+U.

Top 12 peaks for 15 to 90 degrees two-theta, low angle first:
- 17.5 deg, d 5.073, I = 57.6, hkl 0 1 1
- 18.2 deg, d 4.873, I = 100.0, hkl 1 0 -1
- 21.6 deg, d 4.107, I = 31.7, hkl 1 1 0
- 22.8 deg, d 3.895, I = 88.7, hkl 1 0 1
- 23.0 deg, d 3.859, I = 56.5, hkl 0 0 2
- 26.5 deg, d 3.367, I = 46.6, hkl 0 2 0
- 31.7 deg, d 2.823, I = 32.9, hkl 1 2 0
- 32.3 deg, d 2.769, I = 71.0, hkl 1 2 -1
- 35.1 deg, d 2.560, I = 49.2, hkl 1 0 -3
- 35.2 deg, d 2.547, I = 45.0, hkl 1 2 1
- 36.9 deg, d 2.435, I = 24.0, hkl 2 0 -2
- 41.5 deg, d 2.174, I = 23.8, hkl 2 1 1

Crystal structure
```
VCdPHO6
1.0
5.3367 0.0000 0.0000
0.0000 6.7306 0.0000
-1.8918 0.0000 7.7186
V Cd P H O
2 2 2 2 12
Direct
0.0896 0.0000 0.0299 V
0.9104 0.5000 0.9701 V
0.4664 0.9889 0.4670 Cd
0.5336 0.4889 0.5330 Cd
0.0710 0.2371 0.6774 P
0.9290 0.7371 0.3226 P
0.4326 0.5599 0.8493 H
0.5674 0.0599 0.1507 H
0.0915 0.4394 0.7764 O
0.0976 0.7388 0.9924 O
0.1704 0.0645 0.8060 O
0.2162 0.7102 0.4206 O
0.2441 0.2436 0.5457 O
0.4002 0.0729 0.1827 O
0.5998 0.5729 0.8173 O
0.7559 0.7436 0.4543 O
0.7838 0.2102 0.5794 O
0.8296 0.5645 0.1940 O
0.9024 0.2388 0.0076 O
0.9085 0.9394 0.2236 O
```